Diffraction record for K3V3O8. The powder X-ray diffraction pattern is theoretical, not measured: it uses a cell relaxed with PBE+U and copper Kα.
Lines closer than 0.1° are merged.

Principal peaks in the range 2θ from 10° to 80°, sorted by position:
- (0 0 1), 2θ = 11.72°, intensity 23
- (1 0 1), 2θ = 21.37°, intensity 23
- (0 1 2), 2θ = 29.69°, intensity 69
- (1 1 0), 2θ = 31.09°, intensity 100
- (0 0 3), 2θ = 35.67°, intensity 13
- (2 0 2), 2θ = 43.53°, intensity 45
- (1 2 2), 2θ = 54.45°, intensity 22
- (3 0 0), 2θ = 55.32°, intensity 16
- (1 1 4), 2θ = 58.49°, intensity 20
- (2 2 0), 2θ = 64.83°, intensity 19

```
data_K3V3O8
_cell_length_a 5.7528
_cell_length_b 5.7528
_cell_length_c 7.5502
_cell_angle_alpha 90.00
_cell_angle_beta 90.00
_cell_angle_gamma 120.00
_space_group_name_H-M_alt 'P 1'
_space_group_IT_number 1
loop_
_space_group_symop_operation_xyz
'x,y,z'
loop_
_atom_site_label
_atom_site_type_symbol
_atom_site_fract_x
_atom_site_fract_y
_atom_site_fract_z
_atom_site_occupancy
K1 K 0.0000 0.0000 0.0000 1
K2 K 0.3333 0.6667 0.6912 1
K3 K 0.6667 0.3333 0.3088 1
V1 V 0.0000 0.0000 0.5000 1
V2 V 0.3333 0.6667 0.2599 1
V3 V 0.6667 0.3333 0.7401 1
O1 O 0.1666 0.3332 0.3399 1
O2 O 0.1666 0.8334 0.3399 1
O3 O 0.3332 0.1666 0.6601 1
O4 O 0.3333 0.6667 0.0373 1
O5 O 0.6667 0.3333 0.9627 1
O6 O 0.6668 0.8334 0.3399 1
O7 O 0.8334 0.1666 0.6601 1
O8 O 0.8334 0.6668 0.6601 1
```